(1)
Structure and calculated powder XRD pattern of Al2Se3 (a cell relaxed with GGA-PBE; Cu Kα X-rays).
Neutral-atom scattering factors, no anomalous dispersion.

Main lines, low angle first (2θ from 10° to 80°):
(hkl)	d (Å)	two_theta	Rel. int.
0 0 1	8.587	10.30	65
0 1 0	6.769	13.08	74
1 1 0	5.469	16.21	32
1 2 0	3.563	24.99	32
1 0 -2	3.418	26.07	23
1 1 2	3.399	26.22	100
1 1 -2	3.364	26.50	75
2 2 0	2.735	32.75	22
2 0 1	2.668	33.59	19
2 -2 0	1.843	49.47	20

Cell and atoms:
```
data_Al2Se3
_cell_length_a 6.0756
_cell_length_b 7.3268
_cell_length_c 8.5881
_cell_angle_alpha 88.95
_cell_angle_beta 89.83
_cell_angle_gamma 67.52
_space_group_name_H-M_alt 'P 1'
_space_group_IT_number 1
loop_
_space_group_symop_operation_xyz
'x,y,z'
loop_
_atom_site_label
_atom_site_type_symbol
_atom_site_fract_x
_atom_site_fract_y
_atom_site_fract_z
Al1 Al 0.0000 0.0000 0.0000
Al2 Al 0.0165 0.7533 0.6935
Al3 Al 0.4852 0.2090 0.6937
Al4 Al 0.5057 0.9477 0.0000
Se1 Se 0.2504 0.4847 0.5471
Se2 Se 0.2512 0.9795 0.7705
Se3 Se 0.2543 0.9690 0.2121
Se4 Se 0.5942 0.2500 0.9652
Se5 Se 0.7497 0.9853 0.5236
Se6 Se 0.9110 0.6994 0.9650
```

---

(2)
Structure and calculated powder XRD pattern of MgH12C4S4O6 (a cell relaxed with GGA-PBE; Cu Kα X-rays).
Neutral-atom scattering factors, no anomalous dispersion.

Main lines, low angle first (2θ from 10° to 80°):
(hkl)	d (Å)	two_theta	Rel. int.
1 1 1	4.949	17.92	70
1 1 2	4.123	21.55	100
3 1 -2	3.713	23.97	44
1 1 -3	3.594	24.78	27
1 1 3	3.378	26.39	39
3 1 2	3.279	27.19	36
4 0 -4	2.960	30.19	95
6 0 0	2.850	31.39	53
2 2 -1	2.703	33.14	40
10 0 -4	1.666	55.12	21

Cell and atoms:
```
data_MgH12C4S4O6
_cell_length_a 17.4449
_cell_length_b 5.7461
_cell_length_c 13.8485
_cell_angle_alpha 90.00
_cell_angle_beta 101.40
_cell_angle_gamma 90.00
_space_group_name_H-M_alt 'C 1 2/c 1'
_space_group_IT_number 15
loop_
_space_group_symop_operation_xyz
'x,y,z'
'-x,-y,-z'
'-x,y,-z+1/2'
'x,-y,z+1/2'
'x+1/2,y+1/2,z'
'-x+1/2,-y+1/2,-z'
'-x+1/2,y+1/2,-z+1/2'
'x+1/2,-y+1/2,z+1/2'
loop_
_atom_site_label
_atom_site_type_symbol
_atom_site_fract_x
_atom_site_fract_y
_atom_site_fract_z
Mg1 Mg 0.0000 0.1128 0.2500
H1 H 0.0690 0.0053 0.4389
H2 H 0.0717 0.3119 0.7178
H3 H 0.0791 0.2823 0.4312
H4 H 0.0936 0.3525 0.1541
H5 H 0.1220 0.1017 0.6892
H6 H 0.1345 0.3732 0.2679
C1 C 0.1934 0.2992 0.9997
C2 C 0.2480 0.1347 0.0577
S1 S 0.1013 0.3746 0.0002
S2 S 0.2441 0.0485 0.6492
O1 O 0.0568 0.1406 0.3953
O2 O 0.0729 0.1406 0.7113
O3 O 0.0824 0.3718 0.2219
```

---

(3)
Structure and calculated powder XRD pattern of CsLaSeI (a cell relaxed with GGA-PBE; Cu Kα X-rays).
Neutral-atom scattering factors, no anomalous dispersion.

Main lines, low angle first (2θ from 10° to 80°):
(hkl)	d (Å)	two_theta	Rel. int.
1 0 1	3.838	23.18	15
0 1 2	3.729	23.86	12
1 0 4	3.371	26.44	23
0 1 5	3.161	28.23	100
1 0 7	2.750	32.56	13
1 1 0	2.236	40.34	70
2 0 5	1.826	49.93	20
1 1 9	1.801	50.68	11
1 2 5	1.415	66.03	17
3 0 0	1.291	73.30	17

Cell and atoms:
```
data_CsLaSeI
_cell_length_a 4.4756
_cell_length_b 4.4756
_cell_length_c 27.3164
_cell_angle_alpha 90.00
_cell_angle_beta 90.00
_cell_angle_gamma 120.00
_space_group_name_H-M_alt 'R 3 m'
_space_group_IT_number 160
_space_group_name_Hall 'R 3 -2"'
loop_
_atom_site_label
_atom_site_type_symbol
_atom_site_fract_x
_atom_site_fract_y
_atom_site_fract_z
Cs1 Cs 0.0000 0.0000 0.0000
La1 La 0.0000 0.0000 0.1900
Se1 Se 0.0000 0.0000 0.5804
I1 I 0.0000 0.0000 0.7776
```

---

(4)
Structure and calculated powder XRD pattern of In2Si (a cell relaxed with GGA-PBE; Cu Kα X-rays).
Neutral-atom scattering factors, no anomalous dispersion.

Main lines, low angle first (2θ from 10° to 80°):
(hkl)	d (Å)	two_theta	Rel. int.
1 1 0	3.001	29.77	32
1 1 -1	2.881	31.04	100
1 0 2	2.848	31.42	59
0 1 2	2.635	34.02	34
2 0 -1	2.585	34.71	28
1 0 -3	2.422	37.13	27
0 1 3	2.078	43.56	32
2 1 1	1.977	45.91	37
1 2 2	1.545	59.88	18
2 1 -4	1.511	61.35	21

Cell and atoms:
```
data_In2Si
_cell_length_a 5.2593
_cell_length_b 3.6772
_cell_length_c 7.6518
_cell_angle_alpha 90.00
_cell_angle_beta 99.12
_cell_angle_gamma 90.00
_space_group_name_H-M_alt 'P 1 21/m 1'
_space_group_IT_number 11
loop_
_space_group_symop_operation_xyz
'x,y,z'
'-x,-y,-z'
'-x,y+1/2,-z'
'x,-y+1/2,z'
loop_
_atom_site_label
_atom_site_type_symbol
_atom_site_fract_x
_atom_site_fract_y
_atom_site_fract_z
In1 In 0.0542 0.2500 0.2056
In2 In 0.3232 0.2500 0.6002
Si1 Si 0.3976 0.7500 0.0579
```

---

(5)
Structure and calculated powder XRD pattern of Tb6Dy3Th2 (a cell relaxed with GGA-PBE; Cu Kα X-rays).
Neutral-atom scattering factors, no anomalous dispersion.

Main lines, low angle first (2θ from 10° to 80°):
(hkl)	d (Å)	two_theta	Rel. int.
0 1 11	2.911	30.72	100
0 0 33	2.895	30.89	33
1 0 22	2.517	35.67	67
1 1 0	1.784	51.22	24
0 1 44	1.776	51.44	24
2 0 11	1.521	60.92	14
1 1 33	1.519	61.02	29
1 0 55	1.514	61.22	14
0 2 22	1.455	63.97	12
2 0 44	1.259	75.54	8

Cell and atoms:
```
data_Tb6Dy3Th2
_cell_length_a 3.5673
_cell_length_b 3.5673
_cell_length_c 95.5236
_cell_angle_alpha 90.00
_cell_angle_beta 90.00
_cell_angle_gamma 120.00
_space_group_name_H-M_alt 'R -3 m'
_space_group_IT_number 166
_space_group_name_Hall '-R 3 2"'
loop_
_atom_site_label
_atom_site_type_symbol
_atom_site_fract_x
_atom_site_fract_y
_atom_site_fract_z
Tb1 Tb 0.0000 0.0000 0.0913
Tb2 Tb 0.0000 0.0000 0.1825
Tb3 Tb 0.0000 0.0000 0.3636
Dy1 Dy 0.0000 0.0000 0.0000
Dy2 Dy 0.0000 0.0000 0.2729
Th1 Th 0.0000 0.0000 0.4545
```

---

(6)
Structure and calculated powder XRD pattern of BaIn3Ag8 (a cell relaxed with GGA-PBE; Cu Kα X-rays).
Neutral-atom scattering factors, no anomalous dispersion.

Main lines, low angle first (2θ from 10° to 80°):
(hkl)	d (Å)	two_theta	Rel. int.
1 1 0	2.832	31.60	31
1 0 3	2.689	33.32	76
1 1 2	2.442	36.81	100
0 0 4	2.412	37.29	20
0 2 1	2.377	37.85	94
2 0 2	2.186	41.30	22
0 0 6	1.606	57.37	33
0 3 2	1.548	59.72	23
0 2 5	1.516	61.12	28
2 2 0	1.416	65.98	29

Cell and atoms:
```
data_BaIn3Ag8
_cell_length_a 5.6634
_cell_length_b 5.6634
_cell_length_c 9.6463
_cell_angle_alpha 90.00
_cell_angle_beta 90.00
_cell_angle_gamma 120.00
_space_group_name_H-M_alt 'P 3 m 1'
_space_group_IT_number 156
loop_
_space_group_symop_operation_xyz
'x,y,z'
'-y,x-y,z'
'-x+y,-x,z'
'-y,-x,z'
'-x+y,y,z'
'x,x-y,z'
loop_
_atom_site_label
_atom_site_type_symbol
_atom_site_fract_x
_atom_site_fract_y
_atom_site_fract_z
Ba1 Ba 0.0000 0.0000 0.0000
In1 In 0.0000 0.0000 0.3872
In2 In 0.6667 0.3333 0.4884
In3 In 0.6667 0.3333 0.8267
Ag1 Ag 0.1655 0.3309 0.6766
Ag2 Ag 0.3333 0.6667 0.4336
Ag3 Ag 0.3333 0.6667 0.9295
Ag4 Ag 0.5020 0.0040 0.1945
```

---

(7)
Structure and calculated powder XRD pattern of TbNd4Tm3S8 (a cell relaxed with GGA-PBE; Cu Kα X-rays).
Neutral-atom scattering factors, no anomalous dispersion.

Main lines, low angle first (2θ from 10° to 80°):
(hkl)	d (Å)	two_theta	Rel. int.
0 0 6	3.317	26.88	22
2 0 2	3.216	27.74	59
0 2 4	2.806	31.89	100
2 0 8	2.007	45.17	37
2 2 0	1.962	46.27	35
2 2 6	1.689	54.32	20
4 0 4	1.608	57.29	18
0 4 8	1.403	66.65	11
2 2 12	1.267	74.98	16
2 4 4	1.244	76.61	16

Cell and atoms:
```
data_TbNd4Tm3S8
_cell_length_a 7.8484
_cell_length_b 7.8484
_cell_length_c 19.9020
_cell_angle_alpha 90.00
_cell_angle_beta 90.00
_cell_angle_gamma 120.00
_space_group_name_H-M_alt 'R -3 m'
_space_group_IT_number 166
_space_group_name_Hall '-R 3 2"'
loop_
_atom_site_label
_atom_site_type_symbol
_atom_site_fract_x
_atom_site_fract_y
_atom_site_fract_z
Tb1 Tb 0.0000 0.0000 0.0000
Nd1 Nd 0.0000 0.0000 0.5000
Nd2 Nd 0.0000 0.5000 0.5000
Tm1 Tm 0.0000 0.5000 0.0000
S1 S 0.0000 0.0000 0.2576
S2 S 0.0040 0.5020 0.2568
```

---

(8)
Structure and calculated powder XRD pattern of Ta3Te14Pd3 (a cell relaxed with GGA-PBE; Cu Kα X-rays).
Neutral-atom scattering factors, no anomalous dispersion.

Main lines, low angle first (2θ from 10° to 80°):
(hkl)	d (Å)	two_theta	Rel. int.
2 0 -2	6.864	12.90	100
2 1 -4	2.992	29.86	23
3 1 0	2.966	30.13	30
0 0 7	2.918	30.63	25
3 1 1	2.864	31.23	34
1 1 -5	2.832	31.59	20
3 1 -6	2.466	36.44	20
3 1 5	2.219	40.65	16
2 1 7	2.066	43.81	17
0 2 0	1.893	48.06	23

Cell and atoms:
```
data_Ta3Te14Pd3
_cell_length_a 14.9525
_cell_length_b 3.7862
_cell_length_c 21.3321
_cell_angle_alpha 90.00
_cell_angle_beta 106.72
_cell_angle_gamma 90.00
_space_group_name_H-M_alt 'P 1 21/m 1'
_space_group_IT_number 11
loop_
_space_group_symop_operation_xyz
'x,y,z'
'-x,-y,-z'
'-x,y+1/2,-z'
'x,-y+1/2,z'
loop_
_atom_site_label
_atom_site_type_symbol
_atom_site_fract_x
_atom_site_fract_y
_atom_site_fract_z
Ta1 Ta 0.0516 0.2500 0.3081
Ta2 Ta 0.3039 0.7500 0.0450
Ta3 Ta 0.4248 0.2500 0.6526
Te1 Te 0.0502 0.7500 0.2069
Te2 Te 0.0550 0.2500 0.6417
Te3 Te 0.1121 0.2500 0.4508
Te4 Te 0.1153 0.7500 0.9540
Te5 Te 0.1417 0.7500 0.7774
Te6 Te 0.1902 0.2500 0.0892
Te7 Te 0.2019 0.7500 0.3434
Te8 Te 0.2776 0.7500 0.6104
Te9 Te 0.3176 0.2500 0.9479
Te10 Te 0.3428 0.7500 0.1869
Te11 Te 0.3834 0.2500 0.7663
Te12 Te 0.3845 0.2500 0.5103
Te13 Te 0.4400 0.2500 0.3492
Te14 Te 0.4518 0.2500 0.0905
Pd1 Pd 0.1330 0.2500 0.8665
Pd2 Pd 0.2488 0.7500 0.4786
Pd3 Pd 0.4816 0.2500 0.2300
```

---

(9)
Structure and calculated powder XRD pattern of Ca2Mn2P2N (a cell relaxed with GGA-PBE; Cu Kα X-rays).
Neutral-atom scattering factors, no anomalous dispersion.

Main lines, low angle first (2θ from 10° to 80°):
(hkl)	d (Å)	two_theta	Rel. int.
0 0 2	7.230	12.24	100
1 1 2	2.554	35.14	50
0 0 6	2.410	37.31	20
1 0 5	2.315	38.91	28
1 1 4	2.179	41.45	74
2 0 0	1.930	47.08	45
2 0 2	1.865	48.83	10
2 0 6	1.507	61.55	20
1 0 9	1.483	62.65	21
2 2 0	1.365	68.77	13

Cell and atoms:
```
data_Ca2Mn2P2N
_cell_length_a 3.8608
_cell_length_b 3.8608
_cell_length_c 14.4605
_cell_angle_alpha 90.00
_cell_angle_beta 90.00
_cell_angle_gamma 90.00
_space_group_name_H-M_alt 'I 4/m m m'
_space_group_IT_number 139
_space_group_name_Hall '-I 4 2'
loop_
_atom_site_label
_atom_site_type_symbol
_atom_site_fract_x
_atom_site_fract_y
_atom_site_fract_z
Ca1 Ca 0.0000 0.0000 0.1659
Mn1 Mn 0.0000 0.5000 0.0000
P1 P 0.0000 0.0000 0.3904
N1 N 0.0000 0.0000 0.0000
```

---

(10)
Structure and calculated powder XRD pattern of Ac2DyTe2Se2 (a cell relaxed with GGA-PBE; Cu Kα X-rays).
Neutral-atom scattering factors, no anomalous dispersion.

Main lines, low angle first (2θ from 10° to 80°):
(hkl)	d (Å)	two_theta	Rel. int.
1 0 3	3.857	23.06	23
1 1 0	3.756	23.69	100
1 0 5	2.843	31.47	97
0 0 6	2.802	31.94	60
2 0 0	2.656	33.75	88
2 1 5	1.941	46.81	65
2 2 0	1.878	48.47	32
3 1 0	1.680	54.63	23
2 2 6	1.560	59.22	25
1 0 11	1.470	63.28	21

Cell and atoms:
```
data_Ac2DyTe2Se2
_cell_length_a 5.3121
_cell_length_b 5.3121
_cell_length_c 16.8255
_cell_angle_alpha 90.00
_cell_angle_beta 90.00
_cell_angle_gamma 90.00
_space_group_name_H-M_alt 'I 4/m m m'
_space_group_IT_number 139
_space_group_name_Hall '-I 4 2'
loop_
_atom_site_label
_atom_site_type_symbol
_atom_site_fract_x
_atom_site_fract_y
_atom_site_fract_z
Ac1 Ac 0.0000 0.0000 0.1244
Dy1 Dy 0.0000 0.0000 0.5000
Te1 Te 0.0000 0.0000 0.3190
Se1 Se 0.0000 0.5000 0.0000
```

---

(11)
Structure and calculated powder XRD pattern of LiCePO (a cell relaxed with GGA-PBE; Cu Kα X-rays).
Neutral-atom scattering factors, no anomalous dispersion.

Main lines, low angle first (2θ from 10° to 80°):
(hkl)	d (Å)	two_theta	Rel. int.
0 0 2	5.128	17.29	71
1 0 0	3.397	26.24	18
1 0 1	3.225	27.66	100
1 0 2	2.832	31.59	20
1 0 3	2.410	37.32	79
1 1 0	1.961	46.29	36
1 1 2	1.832	49.78	27
1 1 4	1.558	59.32	19
2 0 3	1.521	60.91	19
2 1 3	1.202	79.79	17

Cell and atoms:
```
data_LiCePO
_cell_length_a 3.9223
_cell_length_b 3.9223
_cell_length_c 10.2570
_cell_angle_alpha 90.00
_cell_angle_beta 90.00
_cell_angle_gamma 120.00
_space_group_name_H-M_alt 'P 63 m c'
_space_group_IT_number 186
_space_group_name_Hall 'P 6c -2c'
loop_
_atom_site_label
_atom_site_type_symbol
_atom_site_fract_x
_atom_site_fract_y
_atom_site_fract_z
Li1 Li 0.0000 0.0000 0.0000
Ce1 Ce 0.3333 0.6667 0.2583
P1 P 0.3333 0.6667 0.5850
O1 O 0.0000 0.0000 0.3158
```

---

(12)
Structure and calculated powder XRD pattern of Tb2PdO (a cell relaxed with GGA-PBE; Cu Kα X-rays).
Neutral-atom scattering factors, no anomalous dispersion.

Main lines, low angle first (2θ from 10° to 80°):
(hkl)	d (Å)	two_theta	Rel. int.
1 1 1	3.294	27.07	20
1 1 -3	3.063	29.16	38
1 0 2	2.981	29.97	24
0 2 0	2.954	30.26	100
0 1 3	2.847	31.42	16
2 1 -3	2.493	36.03	13
0 0 4	2.437	36.88	29
2 1 1	2.150	42.02	18
2 2 -2	2.089	43.32	26
0 2 4	1.880	48.43	17

Cell and atoms:
```
data_Tb2PdO
_cell_length_a 5.9414
_cell_length_b 5.9057
_cell_length_c 10.9212
_cell_angle_alpha 90.00
_cell_angle_beta 116.79
_cell_angle_gamma 90.00
_space_group_name_H-M_alt 'P 1 2/c 1'
_space_group_IT_number 13
loop_
_space_group_symop_operation_xyz
'x,y,z'
'-x,-y,-z'
'-x,y,-z+1/2'
'x,-y,z+1/2'
loop_
_atom_site_label
_atom_site_type_symbol
_atom_site_fract_x
_atom_site_fract_y
_atom_site_fract_z
Tb1 Tb 0.0398 0.2412 0.0913
Tb2 Tb 0.3177 0.2022 0.8510
Pd1 Pd 0.4245 0.3157 0.3628
O1 O 0.0305 0.1332 0.6234
```